(1)
Diffraction record for NpAl3Pt. The X-ray diffraction stick pattern is computed, not measured: it uses a crystal structure in Alexandria, relaxed with GGA-PBE and CuKα.
Lines closer than 0.1° are merged.

Structural model:
Cell lengths 8.414, 3.529, 11.767 Å; angles 90.00, 90.00, 90.00 degrees
Space group Pnma (No. 62)
Unique sites:
Np1 0.097 0.250 0.006
Al1 0.079 0.250 0.420
Al2 0.096 0.750 0.221
Al3 0.153 0.750 0.792
Pt1 0.131 0.250 0.632

Largest 10 diffraction maxima, sorted by position, 10° ≤ 2θ ≤ 90°:
- 2θ 12.94, I = 47, hkl 1 0 1
- 2θ 15.06, I = 69, hkl 0 0 2
- 2θ 18.40, I = 51, hkl 1 0 2
- 2θ 25.05, I = 100, hkl 1 0 3
- 2θ 33.13, I = 100, hkl 2 1 0
- 2θ 35.85, I = 80, hkl 1 1 3
- 2θ 36.58, I = 70, hkl 2 1 2
- 2θ 39.77, I = 40, hkl 1 0 5
- 2θ 44.05, I = 34, hkl 2 0 5
- 2θ 47.45, I = 58, hkl 3 1 3


(2)
Diffraction record for Dy3ErTl4S8. The X-ray diffraction stick pattern is computed, not measured: it uses a crystal structure in Alexandria, relaxed with GGA-PBE and CuKα.
Lines closer than 0.1° are merged.

Structural model:
Cell lengths 8.0446, 8.0446, 22.5665 Å; angles 90.00, 90.00, 120.00 degrees
Space group R-3m (No. 166, hexagonal axes)
Unique sites:
Dy1 0.0000 0.5000 0.0000
Er1 0.0000 0.0000 0.0000
Tl1 0.0000 0.0000 0.5000
Tl2 0.0000 0.5000 0.5000
S1 0.0000 0.0000 0.2674
S2 0.0019 0.5010 0.7324

Largest 10 diffraction maxima, sorted by position, 10° ≤ 2θ ≤ 90°:
- 2θ 23.66, I = 32, hkl 0 0 6
- 2θ 26.78, I = 65, hkl 2 0 2
- 2θ 30.15, I = 100, hkl 0 2 4
- 2θ 41.18, I = 39, hkl 2 0 8
- 2θ 45.08, I = 34, hkl 2 2 0
- 2θ 48.04, I = 17, hkl 0 2 10
- 2θ 51.53, I = 25, hkl 2 2 6
- 2θ 55.19, I = 18, hkl 4 0 4
- 2θ 68.28, I = 16, hkl 2 2 12
- 2θ 73.92, I = 15, hkl 2 4 4


(3)
Diffraction record for Tm13Ag2. The X-ray diffraction stick pattern is computed, not measured: it uses a crystal structure in Alexandria, relaxed with GGA-PBE and CuKα.
Lines closer than 0.1° are merged.

Structural model:
Cell lengths 6.512, 8.415, 8.610 Å; angles 66.61, 79.18, 81.99 degrees
Space group P-1 (No. 2)
Unique sites:
Tm1 0.000 0.000 0.000
Tm2 0.117 0.477 0.732
Tm3 0.203 0.232 0.149
Tm4 0.243 0.945 0.577
Tm5 0.303 0.654 0.970
Tm6 0.374 0.409 0.388
Tm7 0.496 0.855 0.205
Ag1 0.060 0.770 0.382

Largest 10 diffraction maxima, sorted by position, 10° ≤ 2θ ≤ 90°:
- 2θ 31.78, I = 17, hkl 0 1 3
- 2θ 32.31, I = 39, hkl 1 1 3
- 2θ 32.72, I = 100, hkl 2 2 1
- 2θ 33.08, I = 56, hkl -2 1 1
- 2θ 33.66, I = 93, hkl 0 3 2
- 2θ 45.49, I = 14, hkl 3 0 2
- 2θ 48.35, I = 29, hkl 1 4 0
- 2θ 58.26, I = 17, hkl 3 -3 0
- 2θ 59.87, I = 16, hkl -1 5 1
- 2θ 60.06, I = 17, hkl -2 4 3


(4)
Diffraction record for SnBi. The X-ray diffraction stick pattern is computed, not measured: it uses a crystal structure in Alexandria, relaxed with GGA-PBE and CuKα.
Lines closer than 0.1° are merged.

Structural model:
Cell lengths 6.339, 5.842, 3.400 Å; angles 90.00, 90.00, 90.00 degrees
Space group Pmma (No. 51)
Unique sites:
Sn1 0.250 0.000 0.003
Bi1 0.250 0.500 0.450

Largest 10 diffraction maxima, sorted by position, 10° ≤ 2θ ≤ 90°:
- 2θ 15.17, I = 18, hkl 0 1 0
- 2θ 28.15, I = 65, hkl 2 0 0
- 2θ 30.42, I = 100, hkl 0 1 1
- 2θ 30.61, I = 52, hkl 0 2 0
- 2θ 41.93, I = 86, hkl 2 1 1
- 2θ 42.07, I = 45, hkl 2 2 0
- 2θ 54.29, I = 20, hkl 0 3 1
- 2θ 62.27, I = 27, hkl 2 3 1
- 2θ 67.10, I = 22, hkl 4 1 1
- 2θ 70.67, I = 16, hkl 2 2 2


(5)
Diffraction record for ZnCdSb2. The X-ray diffraction stick pattern is computed, not measured: it uses a crystal structure in Alexandria, relaxed with GGA-PBE and CuKα.
Lines closer than 0.1° are merged.

Structural model:
Cell lengths 6.415, 8.154, 8.454 Å; angles 90.00, 90.00, 90.00 degrees
Space group P2_12_12_1 (No. 19)
Unique sites:
Zn1 0.061 0.105 0.125
Cd1 0.020 0.373 0.639
Sb1 0.127 0.907 0.386
Sb2 0.158 0.561 0.902

Largest 10 diffraction maxima, sorted by position, 10° ≤ 2θ ≤ 90°:
- 2θ 21.80, I = 27, hkl 0 2 0
- 2θ 25.23, I = 33, hkl 1 0 2
- 2θ 27.54, I = 100, hkl 1 1 2
- 2θ 28.00, I = 55, hkl 1 2 1
- 2θ 31.79, I = 54, hkl 2 1 1
- 2θ 37.22, I = 26, hkl 2 2 1
- 2θ 41.95, I = 67, hkl 1 3 2
- 2θ 42.79, I = 31, hkl 0 0 4
- 2θ 44.20, I = 40, hkl 2 1 3
- 2θ 45.13, I = 34, hkl 3 1 1


(6)
Diffraction record for CaAl2Si2O10. The X-ray diffraction stick pattern is computed, not measured: it uses a crystal structure in Alexandria, relaxed with GGA-PBE and CuKα.
Lines closer than 0.1° are merged.

Structural model:
Cell lengths 4.785, 13.895, 5.194 Å; angles 90.00, 103.90, 90.00 degrees
Space group P2_1/m (No. 11)
Unique sites:
Ca1 0.109 0.250 0.195
Al1 0.000 0.000 0.000
Al2 0.500 0.000 0.500
Si1 0.404 0.157 0.780
O1 0.083 0.021 0.422
O2 0.166 0.115 0.946
O3 0.166 0.250 0.640
O4 0.377 0.550 0.132
O5 0.392 0.750 0.044
O6 0.475 0.133 0.478

Largest 10 diffraction maxima, sorted by position, 10° ≤ 2θ ≤ 90°:
- 2θ 18.72, I = 28, hkl 0 1 1
- 2θ 20.16, I = 100, hkl 1 1 0
- 2θ 23.60, I = 48, hkl 1 1 -1
- 2θ 26.12, I = 39, hkl 0 3 1
- 2θ 29.82, I = 30, hkl 1 1 1
- 2θ 32.18, I = 44, hkl 1 4 0
- 2θ 36.82, I = 27, hkl 1 1 -2
- 2θ 37.97, I = 37, hkl 0 2 2
- 2θ 40.77, I = 36, hkl 0 3 2
- 2θ 51.26, I = 31, hkl 2 5 0


(7)
Diffraction record for Ho4Zr6Sc19. The X-ray diffraction stick pattern is computed, not measured: it uses a crystal structure in Alexandria, relaxed with GGA-PBE and CuKα.
Lines closer than 0.1° are merged.

Structural model:
Cell lengths 8.212, 10.184, 10.651 Å; angles 62.05, 69.21, 71.94 degrees
Space group P1 (No. 1)
Unique sites:
Ho1 0.000 0.000 0.000
Ho2 0.075 0.652 0.648
Ho3 0.518 0.333 0.096
Ho4 0.787 0.451 0.573
Zr1 0.259 0.167 0.041
Zr2 0.336 0.829 0.683
Zr3 0.414 0.983 0.814
Zr4 0.449 0.145 0.449
Zr5 0.587 0.989 0.227
Zr6 0.989 0.496 0.014
Sc1 0.096 0.327 0.287
Sc2 0.097 0.150 0.647
Sc3 0.128 0.839 0.271
Sc4 0.183 0.993 0.423
Sc5 0.205 0.497 0.402
Sc6 0.257 0.667 0.037
Sc7 0.363 0.311 0.671
Sc8 0.404 0.496 0.811
Sc9 0.451 0.684 0.445
Sc10 0.527 0.813 0.091
Sc11 0.627 0.458 0.277
Sc12 0.648 0.144 0.880
Sc13 0.660 0.657 0.859
Sc14 0.740 0.823 0.494
Sc15 0.772 0.070 0.584
Sc16 0.862 0.157 0.231
Sc17 0.867 0.686 0.226
Sc18 0.919 0.832 0.860
Sc19 0.929 0.341 0.863

Largest 10 diffraction maxima, sorted by position, 10° ≤ 2θ ≤ 90°:
- 2θ 24.86, I = 15, hkl -1 1 2
- 2θ 27.72, I = 14, hkl 2 0 -1
- 2θ 34.35, I = 24, hkl 2 2 -1
- 2θ 34.48, I = 100, hkl 1 0 -3
- 2θ 34.62, I = 18, hkl -1 2 3
- 2θ 35.04, I = 48, hkl 1 -2 2
- 2θ 35.24, I = 47, hkl 1 4 2
- 2θ 35.33, I = 42, hkl 2 2 4
- 2θ 50.10, I = 21, hkl 4 4 3
- 2θ 68.80, I = 13, hkl 3 2 -4


(8)
Diffraction record for YTcIr2. The X-ray diffraction stick pattern is computed, not measured: it uses a crystal structure in Alexandria, relaxed with GGA-PBE and CuKα.
Lines closer than 0.1° are merged.

Structural model:
Cell lengths 2.927, 4.561, 5.217 Å; angles 90.00, 98.97, 90.00 degrees
Space group Pm (No. 6)
Unique sites:
Y1 0.000 0.000 0.000
Tc1 0.212 0.500 0.618
Ir1 0.552 0.500 0.172
Ir2 0.593 0.000 0.497

Largest 10 diffraction maxima, sorted by position, 10° ≤ 2θ ≤ 90°:
- 2θ 17.21, I = 28, hkl 0 0 1
- 2θ 26.09, I = 27, hkl 0 1 1
- 2θ 30.92, I = 22, hkl 1 0 0
- 2θ 34.82, I = 29, hkl 0 0 2
- 2θ 37.98, I = 24, hkl 1 0 1
- 2θ 38.66, I = 100, hkl 1 1 -1
- 2θ 39.52, I = 69, hkl 0 2 0
- 2θ 40.20, I = 86, hkl 0 1 2
- 2θ 43.02, I = 66, hkl 1 1 1
- 2θ 47.82, I = 30, hkl 1 1 -2


(9)
Diffraction record for KBe2ZnF8. The X-ray diffraction stick pattern is computed, not measured: it uses a crystal structure in Alexandria, relaxed with GGA-PBE and CuKα.
Lines closer than 0.1° are merged.

Structural model:
Cell lengths 4.9338, 4.9338, 22.2121 Å; angles 90.00, 90.00, 120.00 degrees
Space group R-3 (No. 148, hexagonal axes)
Unique sites:
K1 0.0000 0.0000 0.0000
Be1 0.0000 0.0000 0.2408
Zn1 0.0000 0.0000 0.5000
F1 0.0000 0.0000 0.3104
F2 0.0157 0.3802 0.8868

Largest 10 diffraction maxima, sorted by position, 10° ≤ 2θ ≤ 90°:
- 2θ 11.95, I = 35, hkl 0 0 3
- 2θ 21.17, I = 21, hkl 1 0 1
- 2θ 22.29, I = 25, hkl 0 1 2
- 2θ 26.32, I = 100, hkl 1 0 4
- 2θ 36.42, I = 30, hkl 1 1 0
- 2θ 38.46, I = 25, hkl 1 1 3
- 2θ 44.11, I = 64, hkl 2 -1 6
- 2θ 46.05, I = 16, hkl 1 0 10
- 2θ 62.76, I = 19, hkl 1 1 12
- 2θ 65.54, I = 18, hkl 3 0 0


(10)
Diffraction record for Pm5GaSn2. The X-ray diffraction stick pattern is computed, not measured: it uses a crystal structure in Alexandria, relaxed with GGA-PBE and CuKα.
Lines closer than 0.1° are merged.

Structural model:
Cell lengths 8.094, 12.527, 4.791 Å; angles 90.00, 90.00, 90.00 degrees
Space group Pbam (No. 55)
Unique sites:
Pm1 0.000 0.000 0.000
Pm2 0.154 0.283 0.000
Pm3 0.193 0.568 0.500
Ga1 0.000 0.500 0.000
Sn1 0.076 0.829 0.500

Largest 10 diffraction maxima, sorted by position, 10° ≤ 2θ ≤ 90°:
- 2θ 25.87, I = 23, hkl 1 2 1
- 2θ 29.76, I = 100, hkl 2 1 1
- 2θ 30.47, I = 58, hkl 1 3 1
- 2θ 30.61, I = 52, hkl 1 4 0
- 2θ 30.77, I = 26, hkl 2 3 0
- 2θ 32.29, I = 85, hkl 2 2 1
- 2θ 34.21, I = 40, hkl 0 4 1
- 2θ 37.55, I = 56, hkl 0 0 2
- 2θ 49.16, I = 43, hkl 2 6 0
- 2θ 63.41, I = 22, hkl 2 6 2


(11)
Diffraction record for Tb2MgAl3. The X-ray diffraction stick pattern is computed, not measured: it uses a crystal structure in Alexandria, relaxed with GGA-PBE and CuKα.
Lines closer than 0.1° are merged.

Structural model:
Cell lengths 7.042, 9.407, 16.215 Å; angles 90.00, 90.00, 90.00 degrees
Space group Fmmm (No. 69)
Unique sites:
Tb1 0.249 0.000 0.000
Tb2 0.250 0.250 0.250
Mg1 0.000 0.000 0.333
Al1 0.000 0.000 0.164
Al2 0.000 0.245 0.082

Largest 10 diffraction maxima, sorted by position, 10° ≤ 2θ ≤ 90°:
- 2θ 21.87, I = 74, hkl 0 2 2
- 2θ 25.29, I = 11, hkl 2 0 0
- 2θ 33.68, I = 100, hkl 2 2 2
- 2θ 38.27, I = 15, hkl 0 4 0
- 2θ 38.42, I = 30, hkl 0 2 6
- 2θ 51.92, I = 26, hkl 4 0 0
- 2θ 52.06, I = 10, hkl 2 0 8
- 2θ 57.01, I = 11, hkl 4 2 2
- 2θ 66.29, I = 15, hkl 4 4 0
- 2θ 66.42, I = 21, hkl 4 2 6


(12)
Diffraction record for Sr8Ag2Pt3. The X-ray diffraction stick pattern is computed, not measured: it uses a crystal structure in Alexandria, relaxed with GGA-PBE and CuKα.
Lines closer than 0.1° are merged.

Structural model:
Cell lengths 9.370, 5.329, 9.390 Å; angles 90.00, 110.06, 90.00 degrees
Space group P2/m (No. 10)
Unique sites:
Sr1 0.114 0.000 0.386
Sr2 0.128 0.500 0.860
Sr3 0.360 0.500 0.628
Sr4 0.382 0.000 0.118
Ag1 0.252 0.500 0.248
Pt1 0.000 0.500 0.500
Pt2 0.258 0.000 0.758

Largest 10 diffraction maxima, sorted by position, 10° ≤ 2θ ≤ 90°:
- 2θ 10.04, I = 12, hkl 0 0 1
- 2θ 11.51, I = 24, hkl 1 0 -1
- 2θ 20.16, I = 14, hkl 2 0 0
- 2θ 20.28, I = 14, hkl 1 1 -1
- 2θ 33.22, I = 100, hkl 3 1 -1
- 2θ 33.33, I = 25, hkl 2 0 2
- 2θ 33.64, I = 25, hkl 0 2 0
- 2θ 48.08, I = 18, hkl 2 2 2
- 2θ 59.45, I = 9, hkl 1 1 5
- 2θ 59.89, I = 18, hkl 3 3 -1